The following is a simulated X-ray diffraction stick pattern of AcErAl4. It was derived from a GGA-PBE-relaxed structure, using Cu Kα (λ = 1.5418 Å).
Peak positions follow from Bragg's law for the DFT cell and can differ from measured ones.

Structure:
Cell: 8.339 8.339 8.339 Å, 149.37 149.37 43.86°
Element x y z (fractional)
Ac: 0.000 0.000 0.000
Er: 0.750 0.250 0.500
Al: 0.170 0.670 0.500
Al: 0.330 0.830 0.500
Al: 0.413 0.413 0.000
Al: 0.587 0.587 0.000

Peak list (12 most intense, 2θ = 10–80°, in order of falling intensity)
2θ 30.95, intensity 100; 2θ 26.61, intensity 58; 2θ 20.97, intensity 57; 2θ 35.45, intensity 42; 2θ 40.98, intensity 30; 2θ 22.99, intensity 29; 2θ 55.28, intensity 24; 2θ 49.53, intensity 22; 2θ 68.44, intensity 21; 2θ 45.94, intensity 20; 2θ 47.51, intensity 18; 2θ 63.23, intensity 16

***

The following is a simulated X-ray diffraction stick pattern of Ac5In2P. It was derived from a GGA-PBE-relaxed structure, using Cu Kα (λ = 1.5418 Å).
Peak positions follow from Bragg's law for the DFT cell and can differ from measured ones.

Structure:
Cell: 13.255 9.504 9.502 Å, 90.00 90.00 90.00°
Element x y z (fractional)
Ac: 0.000 0.250 0.000
Ac: 0.000 0.750 0.000
Ac: 0.068 0.000 0.315
Ac: 0.068 0.500 0.315
Ac: 0.201 0.250 0.650
Ac: 0.201 0.750 0.651
Ac: 0.299 0.250 0.151
Ac: 0.299 0.750 0.150
Ac: 0.432 0.000 0.815
Ac: 0.432 0.500 0.815
Ac: 0.500 0.250 0.500
Ac: 0.500 0.750 0.500
Ac: 0.568 0.000 0.185
Ac: 0.568 0.500 0.185
Ac: 0.701 0.250 0.850
Ac: 0.701 0.750 0.849
Ac: 0.799 0.250 0.349
Ac: 0.799 0.750 0.350
Ac: 0.932 0.000 0.685
Ac: 0.932 0.500 0.685
In: 0.178 0.000 0.929
In: 0.178 0.500 0.929
In: 0.322 0.000 0.429
In: 0.322 0.500 0.429
In: 0.678 0.000 0.571
In: 0.678 0.500 0.571
In: 0.822 0.000 0.071
In: 0.822 0.500 0.071
P: 0.000 0.250 0.499
P: 0.000 0.750 0.501
P: 0.500 0.250 0.001
P: 0.500 0.750 0.999

Peak list (12 most intense, 2θ = 10–80°, in order of falling intensity)
2θ 27.38, intensity 100; 2θ 29.15, intensity 75; 2θ 29.81, intensity 71; 2θ 28.53, intensity 65; 2θ 24.89, intensity 48; 2θ 28.98, intensity 46; 2θ 37.87, intensity 42; 2θ 48.09, intensity 32; 2θ 48.72, intensity 28; 2θ 27.57, intensity 27; 2θ 48.38, intensity 24; 2θ 32.95, intensity 20

***

The following is a simulated X-ray diffraction stick pattern of Ac4UN6. It was derived from a GGA-PBE-relaxed structure, using Cu Kα (λ = 1.5418 Å).
Peak positions follow from Bragg's law for the DFT cell and can differ from measured ones.

Structure:
Cell: 7.409 7.409 7.409 Å, 90.57 90.57 90.57°
Element x y z (fractional)
Ac: 0.104 0.750 0.396
Ac: 0.250 0.250 0.250
Ac: 0.250 0.604 0.896
Ac: 0.396 0.104 0.750
Ac: 0.604 0.896 0.250
Ac: 0.750 0.396 0.104
Ac: 0.750 0.750 0.750
Ac: 0.896 0.250 0.604
U: 0.000 0.000 0.000
U: 0.500 0.500 0.500
N: 0.057 0.926 0.715
N: 0.074 0.285 0.943
N: 0.215 0.426 0.557
N: 0.285 0.943 0.074
N: 0.426 0.557 0.215
N: 0.443 0.785 0.574
N: 0.557 0.215 0.426
N: 0.574 0.443 0.785
N: 0.715 0.057 0.926
N: 0.785 0.574 0.443
N: 0.926 0.715 0.057
N: 0.943 0.074 0.285

Peak list (12 most intense, 2θ = 10–80°, in order of falling intensity)
2θ 29.38, intensity 100; 2θ 27.02, intensity 66; 2θ 40.34, intensity 28; 2θ 38.54, intensity 22; 2θ 52.12, intensity 21; 2θ 50.68, intensity 20; 2θ 34.41, intensity 18; 2θ 52.36, intensity 15; 2θ 52.68, intensity 14; 2θ 60.95, intensity 13; 2θ 29.79, intensity 11; 2θ 79.52, intensity 8

***

The following is a simulated X-ray diffraction stick pattern of HoSnPd5. It was derived from a GGA-PBE-relaxed structure, using Cu Kα (λ = 1.5418 Å).
Peak positions follow from Bragg's law for the DFT cell and can differ from measured ones.

Structure:
Cell: 5.052 5.052 10.298 Å, 100.38 100.38 99.06°
Element x y z (fractional)
Ho: 0.186 0.814 0.750
Ho: 0.814 0.186 0.250
Sn: 0.000 0.500 0.000
Sn: 0.500 0.000 0.500
Pd: 0.079 0.281 0.550
Pd: 0.183 0.817 0.250
Pd: 0.281 0.079 0.050
Pd: 0.388 0.403 0.358
Pd: 0.403 0.388 0.858
Pd: 0.597 0.612 0.142
Pd: 0.612 0.597 0.642
Pd: 0.719 0.921 0.950
Pd: 0.817 0.183 0.750
Pd: 0.921 0.719 0.450

Peak list (12 most intense, 2θ = 10–80°, in order of falling intensity)
2θ 37.89, intensity 100; 2θ 43.51, intensity 58; 2θ 37.06, intensity 47; 2θ 37.48, intensity 47; 2θ 39.98, intensity 23; 2θ 44.00, intensity 23; 2θ 63.89, intensity 21; 2θ 63.31, intensity 15; 2θ 76.82, intensity 11; 2θ 36.02, intensity 11; 2θ 38.05, intensity 11; 2θ 76.65, intensity 10